Calculated powder diffractogram of Li9Mn7O16 for Cu Kα (λ = 1.5418 Å), from a cell relaxed with PBE+U.
Kinematic intensities with the Lorentz-polarization factor, no thermal factor.

Atomic structure:
```
Li9Mn7O16
1.0
6.0570 0.0000 0.0000
2.5937 5.9746 0.0000
0.1251 0.0650 8.1925
Li Mn O
9 7 16
Direct
0.0000 0.0000 0.0000
0.0000 0.0000 0.5000
0.1234 0.2420 0.2438
0.2565 0.4963 0.9985
0.3702 0.7498 0.7540
0.5000 0.0000 0.5000
0.6298 0.2502 0.2460
0.7435 0.5037 0.0015
0.8766 0.7580 0.7562
0.1279 0.2445 0.7532
0.2505 0.5000 0.4995
0.3627 0.7577 0.2475
0.5000 0.0000 0.0000
0.6373 0.2423 0.7525
0.7495 0.5000 0.5005
0.8721 0.7555 0.2468
0.0071 0.9779 0.2507
0.1374 0.2596 0.5107
0.1651 0.2253 0.9889
0.2546 0.4842 0.7409
0.2599 0.5083 0.2577
0.3648 0.7426 0.4869
0.3837 0.7607 0.0119
0.4839 0.9984 0.2365
0.5161 0.0016 0.7635
0.6163 0.2393 0.9881
0.6352 0.2574 0.5131
0.7401 0.4917 0.7423
0.7454 0.5158 0.2591
0.8349 0.7747 0.0111
0.8626 0.7404 0.4893
0.9929 0.0221 0.7493
```

Largest 12 diffraction maxima, low angle first, 10° ≤ 2θ ≤ 80°:
d = 4.845 Å, I 100; d = 2.639 Å, I 19; d = 2.483 Å, I 12; d = 2.476 Å, I 12; d = 2.205 Å, I 35; d = 2.049 Å, I 55; d = 1.584 Å, I 9; d = 1.510 Å, I 8; d = 1.505 Å, I 9; d = 1.497 Å, I 8; d = 1.494 Å, I 8; d = 1.461 Å, I 9

Calculated powder diffractogram of Mg6AlCrO8 for Cu Kα (λ = 1.5418 Å), from a cell relaxed with PBE+U.
Kinematic intensities with the Lorentz-polarization factor, no thermal factor.

Atomic structure:
```
Mg6AlCrO8
1.0
4.2740 0.0000 0.0000
0.0000 4.2740 0.0000
0.0000 0.0000 8.8047
Mg Al Cr O
6 1 1 8
Direct
0.0000 0.0000 0.0000
0.0000 0.5000 0.2490
0.0000 0.5000 0.7510
0.5000 0.0000 0.2490
0.5000 0.0000 0.7510
0.5000 0.5000 0.0000
0.0000 0.0000 0.5000
0.5000 0.5000 0.5000
0.0000 0.0000 0.2731
0.0000 0.0000 0.7269
0.0000 0.5000 0.0000
0.0000 0.5000 0.5000
0.5000 0.0000 0.0000
0.5000 0.0000 0.5000
0.5000 0.5000 0.2307
0.5000 0.5000 0.7693
```

Largest 12 diffraction maxima, low angle first, 10° ≤ 2θ ≤ 80°:
d = 8.805 Å, I 12; d = 4.274 Å, I 4; d = 2.858 Å, I 4; d = 2.492 Å, I 27; d = 2.419 Å, I 6; d = 2.201 Å, I 53; d = 2.137 Å, I 100; d = 1.533 Å, I 57; d = 1.511 Å, I 28; d = 1.320 Å, I 6; d = 1.292 Å, I 10; d = 1.246 Å, I 25

Calculated powder diffractogram of MoO2 for Cu Kα (λ = 1.5418 Å), from a cell relaxed with PBE+U.
Kinematic intensities with the Lorentz-polarization factor, no thermal factor.

Atomic structure:
```
MoO2
1.0
0.0000 4.5502 4.5502
4.5502 0.0000 4.5502
4.5502 4.5502 0.0000
Mo O
4 8
Direct
0.0000 0.0000 0.0000
0.0000 0.0000 0.5000
0.0000 0.5000 0.0000
0.5000 0.0000 0.0000
0.1834 0.7722 0.7722
0.2278 0.2278 0.2278
0.2278 0.2278 0.8166
0.2278 0.8166 0.2278
0.7722 0.1834 0.7722
0.7722 0.7722 0.1834
0.7722 0.7722 0.7722
0.8166 0.2278 0.2278
```

Largest 12 diffraction maxima, low angle first, 10° ≤ 2θ ≤ 80°:
d = 5.254 Å, I 100; d = 2.744 Å, I 39; d = 2.627 Å, I 25; d = 2.275 Å, I 41; d = 2.088 Å, I 13; d = 1.751 Å, I 19; d = 1.609 Å, I 24; d = 1.538 Å, I 17; d = 1.388 Å, I 5; d = 1.372 Å, I 14; d = 1.314 Å, I 7; d = 1.274 Å, I 9